[1]
Starting from a GGA-PBE-relaxed structure, the XRD peak list of Sm2Mg13 was simulated for Cu Kα (weighted mean of Kα1 and Kα2).

Most intense lines, 10° ≤ 2θ ≤ 90°, low angle first:
two_theta	Rel. int.	h k l
12.6	17	1 0 1
14.3	100	0 1 2
19.8	23	1 0 4
20.9	53	1 1 0
25.4	31	2 0 2
28.9	31	0 2 4
31.7	29	1 1 6
33.1	29	1 2 2
33.9	34	0 1 8
35.9	68	2 1 4

Crystal structure
```
data_Sm2Mg13
_chemical_formula_sum 'Sm6 Mg39'
_symmetry_space_group_name_H-M 'R -3 m'
_symmetry_Int_Tables_number 166
_symmetry_space_group_name_Hall '-R 3 2"'
_cell_length_a 8.5101
_cell_length_b 8.5101
_cell_length_c 22.6825
_cell_angle_alpha 90.00
_cell_angle_beta 90.00
_cell_angle_gamma 120.00
loop_
_atom_site_label
_atom_site_type_symbol
_atom_site_fract_x
_atom_site_fract_y
_atom_site_fract_z
Sm1 Sm 0.0000 0.0000 0.2400
Mg1 Mg 0.0000 0.0000 0.0000
Mg2 Mg 0.0823 0.5411 0.3043
Mg3 Mg 0.0986 0.5493 0.5569
```

---

[2]
Starting from a GGA-PBE-relaxed structure, the XRD peak list of K2Be2TcO6 was simulated for Cu Kα (weighted mean of Kα1 and Kα2).

Most intense lines, 10° ≤ 2θ ≤ 90°, low angle first:
two_theta	Rel. int.	h k l
13.9	60	0 0 1
19.1	25	1 0 0
23.7	100	0 1 1
33.4	34	1 1 0
34.1	56	1 0 2
41.3	36	2 0 1
48.4	23	2 0 2
54.1	20	1 2 1
55.1	22	1 1 3
60.1	18	2 1 2

Crystal structure
```
data_K2Be2TcO6
_chemical_formula_sum 'K2 Be2 Tc1 O6'
_symmetry_space_group_name_H-M 'P -3 m 1'
_symmetry_Int_Tables_number 164
_symmetry_space_group_name_Hall '-P 3 2"'
_cell_length_a 5.3717
_cell_length_b 5.3717
_cell_length_c 6.3776
_cell_angle_alpha 90.00
_cell_angle_beta 90.00
_cell_angle_gamma 120.00
loop_
_atom_site_label
_atom_site_type_symbol
_atom_site_fract_x
_atom_site_fract_y
_atom_site_fract_z
K1 K 0.3333 0.6667 0.3138
Be1 Be 0.3333 0.6667 0.8335
Tc1 Tc 0.0000 0.0000 0.0000
O1 O 0.1691 0.3382 0.8237
```